Theoretical X-ray diffraction stick pattern of MgCdPb for copper Kα, from a cell relaxed with PBE.
Intensities are scaled so that the largest is 100.

Atomic structure:
Cell: 4.6918 4.4973 7.6151 Å, 90.00 107.80 90.00°
Space group P2/m (No. 10)
Symmetry-distinct sites (fractional):
Mg 0.1576 0.0000 0.3153 [2 per cell]
Cd 0.0000 0.5000 0.0000 [1 per cell]
Cd 0.5000 0.0000 0.0000 [1 per cell]
Pb 0.3350 0.5000 0.6706 [2 per cell]

Largest 8 diffraction maxima, by angle, 2θ from 10° to 80°:
2θ 19.74, intensity 23.3, hkl 0 1 0
2θ 26.47, intensity 23.7, hkl 1 0 1
2θ 33.24, intensity 100.0, hkl 1 1 1
2θ 37.20, intensity 18.3, hkl 0 0 3
2θ 38.37, intensity 17.0, hkl 2 0 -1
2θ 40.10, intensity 15.1, hkl 0 2 0
2θ 66.15, intensity 13.6, hkl 3 1 0
2θ 68.52, intensity 12.7, hkl 1 3 1